Diffraction record for Zn4Ni3Pt. The XRD peak list is computed, not measured: it uses a cell relaxed with PBE and Cu Kα X-rays.

Crystal structure
```
data_Zn4Ni3Pt
_space_group_name_H-M_alt 'P m m m'
_space_group_IT_number 47
_cell_length_a 3.414
_cell_length_b 3.886
_cell_length_c 7.731
_cell_angle_alpha 90.00
_cell_angle_beta 90.00
_cell_angle_gamma 90.00
loop_
_space_group_symop_operation_xyz
'x,y,z'
'-x,-y,-z'
'-x,-y,z'
'x,y,-z'
'x,-y,-z'
'-x,y,z'
'-x,y,-z'
'x,-y,z'
loop_
_atom_site_label
_atom_site_type_symbol
_atom_site_fract_x
_atom_site_fract_y
_atom_site_fract_z
Zn1 Zn 0.000 0.000 0.000
Zn2 Zn 0.000 0.000 0.500
Zn3 Zn 0.000 0.500 0.239
Ni1 Ni 0.500 0.000 0.243
Ni2 Ni 0.500 0.500 0.000
Pt1 Pt 0.500 0.500 0.500
```

Largest 12 diffraction maxima, most intense first, 10° ≤ 2θ ≤ 90°:
2θ/deg  d [Å]  I (rel.)
42.3  2.137  1000
46.8  1.943  187
47.0  1.933  179
11.4  7.731  149
83.7  1.156  127
53.7  1.707  122
84.1  1.151  120
68.5  1.370  111
73.9  1.282  90
74.1  1.279  87
36.9  2.434  66
25.7  3.472  61